Simulated powder diffraction line list
Compound: K2RbHoV2O8
Radiation: Cu Kα
Structure: a crystal structure in Alexandria, relaxed with GGA+U

Crystal structure
```
data_K2RbHoV2O8
_cell_length_a 6.0126
_cell_length_b 6.0126
_cell_length_c 7.7826
_cell_angle_alpha 90.00
_cell_angle_beta 90.00
_cell_angle_gamma 120.00
_space_group_name_H-M_alt 'P -3 m 1'
_space_group_IT_number 164
_space_group_name_Hall '-P 3 2"'
loop_
_atom_site_label
_atom_site_type_symbol
_atom_site_fract_x
_atom_site_fract_y
_atom_site_fract_z
K1 K 0.3333 0.6667 0.1964
Rb1 Rb 0.0000 0.0000 0.5000
Ho1 Ho 0.0000 0.0000 0.0000
V1 V 0.3333 0.6667 0.7501
O1 O 0.1743 0.3486 0.8289
O2 O 0.3333 0.6667 0.5337
```

Peak list (12 most intense, 2θ = 15–90°, low angle first)
d_spacing, 2θ/deg, intensity, index
5.207, 17.03, 39, 1 0 0
4.328, 20.52, 25, 1 0 1
3.117, 28.64, 100, 0 1 2
3.006, 29.72, 88, 1 1 0
2.164, 41.74, 48, 2 0 2
1.756, 52.07, 36, 1 2 2
1.736, 52.74, 16, 3 0 0
1.633, 56.32, 23, 1 1 4
1.503, 61.71, 16, 2 2 0
1.354, 69.41, 16, 3 1 2
1.295, 73.05, 10, 3 0 4
1.142, 84.92, 9, 2 3 2